For LaSi3Pd10, DFT lattice parameters and positions (PBE) gives the simulated PXRD pattern in this record (a wavelength of 1.5418 Å).
Kinematic intensities with the Lorentz-polarization factor, no thermal factor.

Atomic structure:
a b c (Å): 8.721 8.721 8.721
angles (deg): 60.00 60.00 60.00
Fractional positions:
La1 0.250 0.250 0.250
La2 0.750 0.750 0.750
Si1 0.236 0.236 0.764
Si2 0.236 0.764 0.236
Si3 0.236 0.764 0.764
Si4 0.764 0.236 0.236
Si5 0.764 0.236 0.764
Si6 0.764 0.764 0.236
Pd1 0.115 0.115 0.115
Pd2 0.115 0.115 0.656
Pd3 0.115 0.656 0.115
Pd4 0.156 0.500 0.500
Pd5 0.156 0.500 0.844
Pd6 0.156 0.844 0.500
Pd7 0.344 0.885 0.885
Pd8 0.500 0.156 0.500
Pd9 0.500 0.156 0.844
Pd10 0.500 0.500 0.156
Pd11 0.500 0.500 0.844
Pd12 0.500 0.844 0.156
Pd13 0.500 0.844 0.500
Pd14 0.656 0.115 0.115
Pd15 0.844 0.156 0.500
Pd16 0.844 0.500 0.156
Pd17 0.844 0.500 0.500
Pd18 0.885 0.344 0.885
Pd19 0.885 0.885 0.344
Pd20 0.885 0.885 0.885

Most intense lines, 15° ≤ 2θ ≤ 90°, in order of falling intensity:
2.374 Å, I 1000; 2.085 Å, I 490; 2.758 Å, I 481; 1.454 Å, I 289; 2.180 Å, I 285; 2.518 Å, I 242

=====

For YHgPd14, DFT lattice parameters and positions (PBE) gives the simulated PXRD pattern in this record (a wavelength of 1.5418 Å).
Kinematic intensities with the Lorentz-polarization factor, no thermal factor.

Atomic structure:
a b c (Å): 5.698 5.698 8.028
angles (deg): 90.00 90.00 90.00
Fractional positions:
Y1 0.000 0.000 0.000
Hg1 0.500 0.500 0.000
Pd1 0.000 0.000 0.500
Pd2 0.000 0.500 0.000
Pd3 0.000 0.500 0.500
Pd4 0.250 0.250 0.258
Pd5 0.250 0.250 0.742
Pd6 0.250 0.750 0.258
Pd7 0.250 0.750 0.742
Pd8 0.500 0.000 0.000
Pd9 0.500 0.000 0.500
Pd10 0.500 0.500 0.500
Pd11 0.750 0.250 0.258
Pd12 0.750 0.250 0.742
Pd13 0.750 0.750 0.258
Pd14 0.750 0.750 0.742

Most intense lines, 15° ≤ 2θ ≤ 90°, in order of falling intensity:
2.323 Å, I 1000; 2.015 Å, I 327; 1.214 Å, I 244; 1.422 Å, I 204; 2.007 Å, I 159; 1.211 Å, I 117

=====

For CoRePt, DFT lattice parameters and positions (PBE) gives the simulated PXRD pattern in this record (a wavelength of 1.5418 Å).
Kinematic intensities with the Lorentz-polarization factor, no thermal factor.

Atomic structure:
a b c (Å): 8.139 4.681 5.111
angles (deg): 90.00 122.64 90.00
Fractional positions:
Co1 0.169 0.000 0.001
Co2 0.331 0.500 0.999
Co3 0.669 0.500 0.001
Co4 0.831 0.000 0.999
Re1 0.000 0.505 0.000
Re2 0.000 0.671 0.500
Re3 0.500 0.005 0.000
Re4 0.500 0.171 0.500
Pt1 0.164 0.163 0.498
Pt2 0.336 0.663 0.502
Pt3 0.664 0.663 0.498
Pt4 0.836 0.163 0.502

Most intense lines, 15° ≤ 2θ ≤ 90°, in order of falling intensity:
2.055 Å, I 1000; 2.068 Å, I 520; 2.152 Å, I 375; 2.347 Å, I 295; 4.304 Å, I 196; 1.353 Å, I 167

=====

For Pr8Te2Pd3, DFT lattice parameters and positions (PBE) gives the simulated PXRD pattern in this record (a wavelength of 1.5418 Å).
Kinematic intensities with the Lorentz-polarization factor, no thermal factor.

Atomic structure:
a b c (Å): 9.083 9.083 7.257
angles (deg): 104.66 104.66 54.90
Fractional positions:
Pr1 0.099 0.099 0.384
Pr2 0.139 0.647 0.097
Pr3 0.353 0.861 0.903
Pr4 0.398 0.398 0.598
Pr5 0.602 0.602 0.402
Pr6 0.647 0.139 0.097
Pr7 0.861 0.353 0.903
Pr8 0.901 0.901 0.616
Te1 0.251 0.251 0.162
Te2 0.749 0.749 0.838
Pd1 0.245 0.755 0.500
Pd2 0.500 0.500 0.000
Pd3 0.755 0.245 0.500

Most intense lines, 15° ≤ 2θ ≤ 90°, in order of falling intensity:
2.846 Å, I 1000; 2.094 Å, I 720; 2.879 Å, I 495; 2.454 Å, I 248; 3.583 Å, I 243; 3.453 Å, I 241

=====

For Ca2ZnIn2, DFT lattice parameters and positions (PBE) gives the simulated PXRD pattern in this record (a wavelength of 1.5418 Å).
Kinematic intensities with the Lorentz-polarization factor, no thermal factor.

Atomic structure:
a b c (Å): 3.678 4.724 15.128
angles (deg): 90.00 90.00 90.00
Fractional positions:
Ca1 0.000 0.000 0.000
Ca2 0.000 0.000 0.236
Ca3 0.000 0.500 0.500
Ca4 0.000 0.500 0.736
Zn1 0.500 0.000 0.418
Zn2 0.500 0.500 0.918
In1 0.500 0.000 0.613
In2 0.500 0.000 0.822
In3 0.500 0.500 0.113
In4 0.500 0.500 0.322

Most intense lines, 15° ≤ 2θ ≤ 90°, in order of falling intensity:
2.850 Å, I 1000; 2.548 Å, I 904; 2.637 Å, I 541; 3.678 Å, I 408; 2.362 Å, I 393; 2.094 Å, I 391

=====

For PaCd11, DFT lattice parameters and positions (PBE) gives the simulated PXRD pattern in this record (a wavelength of 1.5418 Å).
Kinematic intensities with the Lorentz-polarization factor, no thermal factor.

Atomic structure:
a b c (Å): 10.298 10.298 3.010
angles (deg): 90.00 90.00 120.00
Fractional positions:
Pa1 0.000 0.000 0.000
Cd1 0.000 0.500 0.000
Cd2 0.172 0.344 0.500
Cd3 0.172 0.828 0.500
Cd4 0.333 0.667 0.000
Cd5 0.344 0.172 0.500
Cd6 0.500 0.000 0.000
Cd7 0.500 0.500 0.000
Cd8 0.656 0.828 0.500
Cd9 0.667 0.333 0.000
Cd10 0.828 0.172 0.500
Cd11 0.828 0.656 0.500

Most intense lines, 15° ≤ 2θ ≤ 90°, in order of falling intensity:
2.574 Å, I 1000; 2.495 Å, I 532; 2.598 Å, I 302; 1.299 Å, I 220; 1.470 Å, I 195; 1.791 Å, I 191

=====

For Na7Pt, DFT lattice parameters and positions (PBE) gives the simulated PXRD pattern in this record (a wavelength of 1.5418 Å).
Kinematic intensities with the Lorentz-polarization factor, no thermal factor.

Atomic structure:
a b c (Å): 6.776 6.776 6.776
angles (deg): 60.00 60.00 60.00
Fractional positions:
Na1 0.000 0.000 0.000
Na2 0.000 0.000 0.500
Na3 0.000 0.500 0.000
Na4 0.000 0.500 0.500
Na5 0.500 0.000 0.000
Na6 0.500 0.000 0.500
Na7 0.500 0.500 0.000
Pt1 0.500 0.500 0.500

Most intense lines, 15° ≤ 2θ ≤ 90°, in order of falling intensity:
5.533 Å, I 1000; 2.766 Å, I 893; 2.889 Å, I 627; 4.791 Å, I 542; 3.388 Å, I 472; 2.396 Å, I 446

=====

For DyZn12Pt4, DFT lattice parameters and positions (PBE) gives the simulated PXRD pattern in this record (a wavelength of 1.5418 Å).
Kinematic intensities with the Lorentz-polarization factor, no thermal factor.

Atomic structure:
a b c (Å): 7.536 7.536 7.536
angles (deg): 109.47 109.47 109.47
Fractional positions:
Dy1 0.000 0.000 0.000
Zn1 0.151 0.351 0.502
Zn2 0.151 0.649 0.800
Zn3 0.200 0.849 0.351
Zn4 0.351 0.200 0.849
Zn5 0.351 0.502 0.151
Zn6 0.498 0.849 0.649
Zn7 0.502 0.151 0.351
Zn8 0.649 0.498 0.849
Zn9 0.649 0.800 0.151
Zn10 0.800 0.151 0.649
Zn11 0.849 0.351 0.200
Zn12 0.849 0.649 0.498
Pt1 0.000 0.000 0.500
Pt2 0.000 0.500 0.000
Pt3 0.500 0.000 0.000
Pt4 0.500 0.500 0.500

Most intense lines, 15° ≤ 2θ ≤ 90°, in order of falling intensity:
3.077 Å, I 1000; 1.776 Å, I 826; 2.752 Å, I 741; 1.946 Å, I 667; 4.351 Å, I 473; 2.326 Å, I 372

=====

For LiMgAgBi, DFT lattice parameters and positions (PBE) gives the simulated PXRD pattern in this record (a wavelength of 1.5418 Å).
Kinematic intensities with the Lorentz-polarization factor, no thermal factor.

Atomic structure:
a b c (Å): 9.086 4.686 4.686
angles (deg): 90.00 120.75 90.00
Fractional positions:
Li1 0.000 0.000 0.000
Li2 0.500 0.500 0.000
Mg1 0.000 0.500 0.499
Mg2 0.500 0.000 0.499
Ag1 0.250 0.500 0.250
Ag2 0.750 0.000 0.250
Bi1 0.250 0.000 0.751
Bi2 0.750 0.500 0.751

Most intense lines, 15° ≤ 2θ ≤ 90°, in order of falling intensity:
3.314 Å, I 1000; 3.904 Å, I 747; 2.531 Å, I 726; 2.522 Å, I 718; 2.343 Å, I 583; 4.021 Å, I 253

=====

For K2TaVN4, DFT lattice parameters and positions (PBE) gives the simulated PXRD pattern in this record (a wavelength of 1.5418 Å).
Kinematic intensities with the Lorentz-polarization factor, no thermal factor.

Atomic structure:
a b c (Å): 6.068 6.568 6.912
angles (deg): 90.00 90.00 90.00
Fractional positions:
K1 0.250 0.001 0.203
K2 0.250 0.499 0.203
K3 0.750 0.501 0.797
K4 0.750 0.999 0.797
Ta1 0.250 0.250 0.654
Ta2 0.750 0.750 0.346
V1 0.250 0.750 0.662
V2 0.750 0.250 0.338
N1 0.010 0.750 0.509
N2 0.250 0.508 0.801
N3 0.250 0.992 0.801
N4 0.490 0.750 0.509
N5 0.510 0.250 0.491
N6 0.750 0.008 0.199
N7 0.750 0.492 0.199
N8 0.990 0.250 0.491

Most intense lines, 15° ≤ 2θ ≤ 90°, in order of falling intensity:
2.665 Å, I 1000; 3.003 Å, I 686; 4.560 Å, I 639; 3.034 Å, I 592; 4.457 Å, I 468; 2.966 Å, I 410

=====

For Re3Pb2, DFT lattice parameters and positions (PBE) gives the simulated PXRD pattern in this record (a wavelength of 1.5418 Å).
Kinematic intensities with the Lorentz-polarization factor, no thermal factor.

Atomic structure:
a b c (Å): 8.860 5.203 9.410
angles (deg): 67.71 32.91 79.37
Fractional positions:
Re1 0.000 0.000 0.000
Re2 0.102 0.921 0.636
Re3 0.250 0.250 0.250
Re4 0.614 0.909 0.148
Re5 0.909 0.614 0.329
Re6 0.921 0.102 0.341
Pb1 0.320 0.574 0.765
Pb2 0.485 0.910 0.930
Pb3 0.574 0.320 0.340
Pb4 0.910 0.485 0.676

Most intense lines, 15° ≤ 2θ ≤ 90°, in order of falling intensity:
2.751 Å, I 1000; 2.547 Å, I 390; 2.339 Å, I 333; 2.091 Å, I 306; 2.142 Å, I 224; 3.001 Å, I 149

=====

For FeAsI2, DFT lattice parameters and positions (PBE) gives the simulated PXRD pattern in this record (a wavelength of 1.5418 Å).
Kinematic intensities with the Lorentz-polarization factor, no thermal factor.

Atomic structure:
a b c (Å): 7.330 7.330 10.722
angles (deg): 90.00 90.00 90.00
Fractional positions:
Fe1 0.000 0.000 0.000
Fe2 0.000 0.500 0.250
Fe3 0.500 0.000 0.750
Fe4 0.500 0.500 0.500
As1 0.000 0.000 0.500
As2 0.000 0.500 0.750
As3 0.500 0.000 0.250
As4 0.500 0.500 0.000
I1 0.174 0.250 0.125
I2 0.250 0.674 0.375
I3 0.250 0.826 0.875
I4 0.326 0.250 0.625
I5 0.674 0.750 0.625
I6 0.750 0.174 0.875
I7 0.750 0.326 0.375
I8 0.826 0.750 0.125

Most intense lines, 15° ≤ 2θ ≤ 90°, in order of falling intensity:
3.726 Å, I 1000; 2.164 Å, I 365; 3.135 Å, I 285; 2.592 Å, I 220; 2.128 Å, I 219; 1.997 Å, I 115

=====

For Ca2Ga2Cl, DFT lattice parameters and positions (PBE) gives the simulated PXRD pattern in this record (a wavelength of 1.5418 Å).
Kinematic intensities with the Lorentz-polarization factor, no thermal factor.

Atomic structure:
a b c (Å): 4.247 4.247 23.559
angles (deg): 90.00 90.00 120.00
Fractional positions:
Ca1 0.000 0.000 0.086
Ca2 0.000 0.000 0.914
Ca3 0.333 0.667 0.581
Ca4 0.333 0.667 0.753
Ca5 0.667 0.333 0.247
Ca6 0.667 0.333 0.419
Ga1 0.000 0.000 0.323
Ga2 0.000 0.000 0.677
Ga3 0.333 0.667 0.343
Ga4 0.333 0.667 0.990
Ga5 0.667 0.333 0.010
Ga6 0.667 0.333 0.657
Cl1 0.000 0.000 0.500
Cl2 0.333 0.667 0.167
Cl3 0.667 0.333 0.833

Most intense lines, 15° ≤ 2θ ≤ 90°, in order of falling intensity:
2.899 Å, I 1000; 2.124 Å, I 575; 1.442 Å, I 218; 1.713 Å, I 191; 2.483 Å, I 176; 2.050 Å, I 168